Computed powder diffraction line list of AcPr2Tl4 for CuKα, from a crystal structure in Alexandria, relaxed with PBE.
Intensities are scaled so that the largest is 100.

Top 6 peaks for 2θ from 10° to 90°, in order of rising 2θ:
2theta	d [Å]	I/Imax	(hkl)
25.52	3.490	14	1 1 1
32.16	2.784	100	1 1 2
32.65	2.743	52	2 0 0
46.84	1.940	19	2 2 0
57.02	1.615	16	2 0 4
57.95	1.591	38	3 1 2

Lattice parameters (Å, degrees): 5.4860 5.4860 7.9933 90.00 90.00 90.00
Space group P4/mmm (No. 123)
Symmetry-distinct sites (fractional):
Ac  0.0000  0.0000  0.0000 (multiplicity 1)
Pr  0.0000  0.0000  0.5000 (multiplicity 1)
Pr  0.5000  0.5000  0.0000 (multiplicity 1)
Tl  0.0000  0.5000  0.2769 (multiplicity 4)

=====

Computed powder diffraction line list of Ac3PrTl4 for CuKα, from a crystal structure in Alexandria, relaxed with PBE.
Intensities are scaled so that the largest is 100.

Top 6 peaks for 2θ from 10° to 90°, in order of rising 2θ:
2theta	d [Å]	I/Imax	(hkl)
30.92	2.892	100	1 0 4
31.08	2.878	51	1 1 0
44.52	2.035	20	2 0 0
54.91	1.672	18	1 1 8
55.19	1.664	40	2 1 4
64.44	1.446	11	2 0 8

Lattice parameters (Å, degrees): 4.0700 4.0700 16.4361 90.00 90.00 90.00
Space group P4/mmm (No. 123)
Symmetry-distinct sites (fractional):
Ac  0.0000  0.0000  0.0000 (multiplicity 1)
Ac  0.0000  0.0000  0.2577 (multiplicity 2)
Pr  0.0000  0.0000  0.5000 (multiplicity 1)
Tl  0.5000  0.5000  0.1296 (multiplicity 2)
Tl  0.5000  0.5000  0.3881 (multiplicity 2)

=====

Computed powder diffraction line list of AcPr5Tl2 for CuKα, from a crystal structure in Alexandria, relaxed with PBE.
Intensities are scaled so that the largest is 100.

Top 6 peaks for 2θ from 10° to 90°, in order of rising 2θ:
2theta	d [Å]	I/Imax	(hkl)
29.05	3.074	71	1 2 1
31.01	2.884	62	1 0 3
31.86	2.809	100	0 2 4
32.36	2.767	43	0 4 0
57.41	1.605	42	1 2 7
58.04	1.589	37	2 2 4

Lattice parameters (Å, degrees): 3.8545 11.0676 13.0369 90.00 90.00 90.00
Space group Immm (No. 71)
Symmetry-distinct sites (fractional):
Ac  0.0000  0.0000  0.0000 (multiplicity 2)
Pr  0.0000  0.2219  0.3612 (multiplicity 8)
Pr  0.0000  0.5000  0.0000 (multiplicity 2)
Tl  0.0000  0.5000  0.2645 (multiplicity 4)

=====

Computed powder diffraction line list of Ac3Pr7Tl2 for CuKα, from a crystal structure in Alexandria, relaxed with PBE.
Intensities are scaled so that the largest is 100.

Top 6 peaks for 2θ from 10° to 90°, in order of rising 2θ:
2theta	d [Å]	I/Imax	(hkl)
26.03	3.423	27	1 1 1
27.93	3.194	100	1 1 -3
30.59	2.923	61	1 1 3
33.48	2.676	44	2 0 -1
37.43	2.403	35	0 2 0
51.08	1.788	27	2 2 -1

Lattice parameters (Å, degrees): 5.3524 4.8061 17.9566 90.00 98.54 90.00
Space group P2/m (No. 10)
Symmetry-distinct sites (fractional):
Ac  0.0000  0.0000  0.0000 (multiplicity 1)
Ac  0.3235  0.5000  0.6467 (multiplicity 2)
Pr  0.0790  0.5000  0.1592 (multiplicity 2)
Pr  0.2258  0.0000  0.4514 (multiplicity 2)
Pr  0.4197  0.0000  0.8382 (multiplicity 2)
Pr  0.5000  0.5000  0.0000 (multiplicity 1)
Tl  0.1386  0.0000  0.2786 (multiplicity 2)

=====

Computed powder diffraction line list of Ac2Pr4Tm for CuKα, from a crystal structure in Alexandria, relaxed with PBE.
Intensities are scaled so that the largest is 100.

Top 6 peaks for 2θ from 10° to 90°, in order of rising 2θ:
2theta	d [Å]	I/Imax	(hkl)
27.42	3.253	100	3 1 0
32.57	2.749	77	2 1 3
39.17	2.300	21	4 2 0
44.94	2.017	17	4 1 3
55.04	1.669	31	6 1 1
66.84	1.400	19	3 3 6

Lattice parameters (Å, degrees): 10.2855 10.2855 10.2866 90.00 90.00 90.00
Space group I-42d (No. 122)
Symmetry-distinct sites (fractional):
Ac  0.1077  0.2500  0.1250 (multiplicity 8)
Pr  0.0754  0.1828  0.7823 (multiplicity 16)
Tm  0.0000  0.0000  0.5000 (multiplicity 4)

=====

Computed powder diffraction line list of AcPr6Tm2 for CuKα, from a crystal structure in Alexandria, relaxed with PBE.
Intensities are scaled so that the largest is 100.

Top 6 peaks for 2θ from 10° to 90°, in order of rising 2θ:
2theta	d [Å]	I/Imax	(hkl)
30.41	2.939	92	0 2 6
30.66	2.916	100	2 0 0
43.73	2.070	34	2 2 6
54.33	1.689	24	3 1 6
54.44	1.685	26	3 3 0
60.24	1.536	27	2 0 12

Lattice parameters (Å, degrees): 5.8397 10.0857 21.6897 90.00 90.00 90.00
Space group Ibam (No. 72)
Symmetry-distinct sites (fractional):
Ac  0.0000  0.0000  0.2500 (multiplicity 4)
Pr  0.0000  0.0000  0.0786 (multiplicity 8)
Pr  0.9998  0.3327  0.1615 (multiplicity 16)
Tm  0.0010  0.3333  0.0000 (multiplicity 8)

=====

Computed powder diffraction line list of Ac4Pr3Tm for CuKα, from a crystal structure in Alexandria, relaxed with PBE.
Intensities are scaled so that the largest is 100.

Top 6 peaks for 2θ from 10° to 90°, in order of rising 2θ:
2theta	d [Å]	I/Imax	(hkl)
28.61	3.120	100	2 2 0
32.76	2.733	18	4 0 0
33.34	2.687	34	0 2 2
47.44	1.916	25	4 2 2
55.96	1.643	16	6 2 0
56.72	1.623	30	2 4 2

Lattice parameters (Å, degrees): 10.9337 7.5997 7.6017 90.00 90.00 90.00
Space group Pmn2_1 (No. 31)
Symmetry-distinct sites (fractional):
Ac  0.0000  0.0006  0.0000 (multiplicity 2)
Ac  0.0000  0.4991  0.4972 (multiplicity 2)
Ac  0.2484  0.7486  0.7485 (multiplicity 4)
Pr  0.0000  0.0005  0.4981 (multiplicity 2)
Pr  0.2496  0.2536  0.7485 (multiplicity 4)
Tm  0.0000  0.4997  0.9987 (multiplicity 2)

=====

Computed powder diffraction line list of Ac2Pr5Tm for CuKα, from a crystal structure in Alexandria, relaxed with PBE.
Intensities are scaled so that the largest is 100.

Top 6 peaks for 2θ from 10° to 90°, in order of rising 2θ:
2theta	d [Å]	I/Imax	(hkl)
29.17	3.062	100	2 0 1
33.81	2.652	51	2 4 0
48.58	1.874	31	4 0 0
57.57	1.601	15	2 8 1
57.69	1.598	30	2 0 3
81.13	1.186	11	2 4 4

Lattice parameters (Å, degrees): 7.4896 15.0343 5.2978 90.00 90.00 90.00
Space group Pbam (No. 55)
Symmetry-distinct sites (fractional):
Ac  0.2478  0.1240  0.0000 (multiplicity 4)
Pr  0.0000  0.5000  0.5000 (multiplicity 2)
Pr  0.0022  0.7519  0.5000 (multiplicity 4)
Pr  0.2503  0.3762  0.0000 (multiplicity 4)
Tm  0.0000  0.0000  0.5000 (multiplicity 2)

=====

Computed powder diffraction line list of AcPr2Tm7 for CuKα, from a crystal structure in Alexandria, relaxed with PBE.
Intensities are scaled so that the largest is 100.

Top 6 peaks for 2θ from 10° to 90°, in order of rising 2θ:
2theta	d [Å]	I/Imax	(hkl)
30.54	2.927	100	1 0 2
30.69	2.913	99	2 0 -1
35.45	2.532	67	1 2 0
35.59	2.523	33	2 -2 1
51.08	1.788	36	3 0 1
60.79	1.524	36	3 0 -4

Lattice parameters (Å, degrees): 6.1848 7.1497 7.9955 102.49 97.46 106.73
Space group P-1 (No. 2)
Symmetry-distinct sites (fractional):
Ac  0.0000  0.0000  0.0000 (multiplicity 1)
Pr  0.2009  0.4022  0.4008 (multiplicity 2)
Tm  0.0000  0.5000  0.0000 (multiplicity 1)
Tm  0.2030  0.9011  0.4035 (multiplicity 2)
Tm  0.4000  0.7994  0.7991 (multiplicity 2)
Tm  0.4037  0.3025  0.8003 (multiplicity 2)

=====

Computed powder diffraction line list of AcPr3Tm6 for CuKα, from a crystal structure in Alexandria, relaxed with PBE.
Intensities are scaled so that the largest is 100.

Top 6 peaks for 2θ from 10° to 90°, in order of rising 2θ:
2theta	d [Å]	I/Imax	(hkl)
28.94	3.085	39	0 2 1
29.75	3.003	34	0 0 3
30.50	2.931	55	1 1 -3
31.46	2.843	100	2 2 -1
32.16	2.783	54	2 2 0
55.39	1.659	36	6 2 -2

Lattice parameters (Å, degrees): 11.5371 6.5733 9.9300 90.00 114.87 90.00
Space group C2/m (No. 12)
Symmetry-distinct sites (fractional):
Ac  0.0000  0.0000  0.0000 (multiplicity 2)
Pr  0.0000  0.5000  0.5000 (multiplicity 2)
Pr  0.0711  0.0000  0.6964 (multiplicity 4)
Tm  0.1369  0.5000  0.9176 (multiplicity 4)
Tm  0.1859  0.2534  0.3168 (multiplicity 8)

=====

Computed powder diffraction line list of Ac4Pr3Tm4 for CuKα, from a crystal structure in Alexandria, relaxed with PBE.
Intensities are scaled so that the largest is 100.

Top 6 peaks for 2θ from 10° to 90°, in order of rising 2θ:
2theta	d [Å]	I/Imax	(hkl)
29.13	3.065	31	3 1 -1
29.61	3.017	64	3 1 1
30.08	2.970	36	8 0 -1
30.29	2.951	100	11 1 0
30.53	2.928	56	0 2 0
43.39	2.085	27	8 2 -1

Lattice parameters (Å, degrees): 37.6085 5.8568 3.7139 90.00 92.30 90.00
Space group C2/m (No. 12)
Symmetry-distinct sites (fractional):
Ac  0.0923  0.0000  0.1900 (multiplicity 4)
Ac  0.2210  0.5000  0.2421 (multiplicity 4)
Pr  0.0000  0.0000  0.5000 (multiplicity 2)
Pr  0.1331  0.5000  0.7035 (multiplicity 4)
Tm  0.0394  0.5000  0.7898 (multiplicity 4)
Tm  0.1798  0.0000  0.7272 (multiplicity 4)

=====

Computed powder diffraction line list of Ac4Pr2Tm for CuKα, from a crystal structure in Alexandria, relaxed with PBE.
Intensities are scaled so that the largest is 100.

Top 6 peaks for 2θ from 10° to 90°, in order of rising 2θ:
2theta	d [Å]	I/Imax	(hkl)
25.89	3.441	88	2 2 2
26.34	3.384	63	2 4 0
28.28	3.156	61	0 0 4
29.49	3.029	100	0 6 2
39.03	2.308	43	2 4 4
50.79	1.797	41	0 6 6

Lattice parameters (Å, degrees): 8.9403 20.7182 12.6225 90.00 90.00 90.00
Space group Fdd2 (No. 43)
Symmetry-distinct sites (fractional):
Ac  0.1204  0.3389  0.0000 (multiplicity 16)
Ac  0.1240  0.3295  0.4814 (multiplicity 16)
Pr  0.0857  0.2685  0.7436 (multiplicity 16)
Tm  0.0000  0.0000  0.9854 (multiplicity 8)

=====

Computed powder diffraction line list of Ac4Pr7Tm for CuKα, from a crystal structure in Alexandria, relaxed with PBE.
Intensities are scaled so that the largest is 100.

Top 6 peaks for 2θ from 10° to 90°, in order of rising 2θ:
2theta	d [Å]	I/Imax	(hkl)
28.99	3.080	72	0 0 3
29.98	2.981	100	2 0 -2
30.13	2.966	47	1 2 1
31.51	2.839	40	2 0 1
31.62	2.829	72	-1 2 2
56.78	1.621	33	3 -2 2

Lattice parameters (Å, degrees): 6.6127 7.5844 9.4991 90.10 103.43 90.16
Space group P-1 (No. 2)
Symmetry-distinct sites (fractional):
Ac  0.2185  0.2402  0.1722 (multiplicity 2)
Ac  0.2748  0.4997  0.8293 (multiplicity 2)
Pr  0.0040  0.7558  0.4976 (multiplicity 2)
Pr  0.2252  0.7538  0.1775 (multiplicity 2)
Pr  0.2849  0.0006  0.8258 (multiplicity 2)
Pr  0.5000  0.5000  0.5000 (multiplicity 1)
Tm  0.5000  0.0000  0.5000 (multiplicity 1)